For Rb2BaPt2, DFT lattice parameters and positions (GGA-PBE) gives the calculated X-ray powder pattern in this record (Cu Kα (λ = 1.5418 Å)).
Lines closer than 0.1° are merged.

Cell: 8.614 8.614 4.879 Å, 90.00 90.00 90.00°
Atoms (fractional coordinates):
Rb (0.135, 0.365, 0.000)
Rb (0.365, 0.865, 0.000)
Rb (0.635, 0.135, 0.000)
Rb (0.865, 0.635, 0.000)
Ba (0.000, 0.000, 0.500)
Ba (0.500, 0.500, 0.500)
Pt (0.173, 0.673, 0.500)
Pt (0.327, 0.173, 0.500)
Pt (0.673, 0.827, 0.500)
Pt (0.827, 0.327, 0.500)

Peak list (6 most intense, 10° ≤ 2θ ≤ 90°, by angle)
d/Å  2θ (°)  intensity  index
4.879  18.18  28  0 0 1
3.023  29.55  100  2 1 1
2.724  32.88  37  3 1 0
2.439  36.85  20  0 0 2
1.921  47.33  20  4 1 1
1.817  50.21  22  3 1 2